# 1
Simulated XRD peak list of Ba2P6O17 for a wavelength of 1.5418 Å, from the PBE geometry in the Materials Project.
Peak positions follow from Bragg's law for the DFT cell and can differ from measured ones.

Atomic structure:
```
data_Ba2P6O17
_chemical_formula_sum 'Ba4 P12 O34'
_cell_length_a 7.480
_cell_length_b 13.719
_cell_length_c 7.523
_cell_angle_alpha 90.00
_cell_angle_beta 105.08
_cell_angle_gamma 90.00
_space_group_name_H-M_alt 'P 1 21 1'
_space_group_IT_number 4
loop_
_space_group_symop_operation_xyz
'x,y,z'
'-x,y+1/2,-z'
loop_
_atom_site_label
_atom_site_type_symbol
_atom_site_fract_x
_atom_site_fract_y
_atom_site_fract_z
_atom_site_occupancy
Ba1 Ba 0.120 0.000 0.298 1
Ba2 Ba 0.169 0.212 0.717 1
P1 P 0.006 0.772 0.819 1
P2 P 0.059 0.490 0.249 1
P3 P 0.384 0.683 0.839 1
P4 P 0.386 0.469 0.837 1
P5 P 0.396 0.780 0.495 1
P6 P 0.474 0.458 0.258 1
O1 O 0.031 0.376 0.288 1
O2 O 0.034 0.279 0.998 1
O3 O 0.043 0.546 0.415 1
O4 O 0.056 0.022 0.936 1
O5 O 0.078 0.197 0.323 1
O6 O 0.202 0.818 0.431 1
O7 O 0.219 0.407 0.763 1
O8 O 0.236 0.761 0.861 1
O9 O 0.277 0.500 0.244 1
O10 O 0.293 0.578 0.856 1
O11 O 0.372 0.023 0.647 1
O12 O 0.391 0.686 0.630 1
O13 O 0.434 0.196 0.030 1
O14 O 0.463 0.979 0.257 1
O15 O 0.474 0.354 0.348 1
O16 O 0.478 0.438 0.051 1
O17 O 0.495 0.250 0.634 1
```

Main lines, in order of rising 2θ (2θ = 10–90°):
2θ (°), I (rel.), hkl
19.74, 514, 1 2 -1
23.42, 1000, 1 2 1
24.52, 874, 0 0 2
25.37, 476, 2 1 -1
25.51, 654, 2 1 0
25.98, 881, 0 4 0
27.79, 483, 2 2 -1
36.00, 511, 0 4 2

***

# 2
Simulated XRD peak list of Ba3P4O13 for a wavelength of 1.5418 Å, from the PBE geometry in the Materials Project.
Peak positions follow from Bragg's law for the DFT cell and can differ from measured ones.

Atomic structure:
```
data_Ba3P4O13
_chemical_formula_sum 'Ba3 P4 O13'
_cell_length_a 6.915
_cell_length_b 7.323
_cell_length_c 7.641
_cell_angle_alpha 76.25
_cell_angle_beta 78.41
_cell_angle_gamma 63.30
_space_group_name_H-M_alt 'P 1'
_space_group_IT_number 1
loop_
_space_group_symop_operation_xyz
'x,y,z'
loop_
_atom_site_label
_atom_site_type_symbol
_atom_site_fract_x
_atom_site_fract_y
_atom_site_fract_z
_atom_site_occupancy
Ba1 Ba 0.000 0.000 0.000 1
Ba2 Ba 0.014 0.528 0.796 1
Ba3 Ba 0.566 0.798 0.325 1
P1 P 0.011 0.035 0.479 1
P2 P 0.049 0.322 0.348 1
P3 P 0.478 0.476 0.073 1
P4 P 0.551 0.981 0.781 1
O1 O 0.081 0.937 0.664 1
O2 O 0.123 0.898 0.333 1
O3 O 0.262 0.593 0.982 1
O4 O 0.313 0.237 0.355 1
O5 O 0.315 0.112 0.847 1
O6 O 0.459 0.223 0.178 1
O7 O 0.598 0.823 0.662 1
O8 O 0.618 0.170 0.645 1
O9 O 0.679 0.370 0.937 1
O10 O 0.701 0.880 0.937 1
O11 O 0.751 0.097 0.473 1
O12 O 0.937 0.490 0.466 1
O13 O 0.977 0.371 0.163 1
```

Main lines, in order of rising 2θ (2θ = 10–90°):
2θ (°), I (rel.), hkl
21.67, 555, 1 1 -1
25.03, 1000, 1 1 2
25.20, 415, 1 2 0
27.13, 355, 1 -1 1
28.28, 536, 0 2 1
29.08, 611, 2 0 0
29.85, 522, 2 2 1
30.58, 357, 2 2 0